Entry 1:
This entry pairs a crystal structure of Cr2O3 with its computed powder XRD pattern. Radiation: Cu Kα. Structure: a structure optimized by DFT (PBE+U).
Peak positions follow from Bragg's law for the DFT cell and can differ from measured ones.

Peak list (10 most intense, 2θ = 10–90°, most intense first)
Position (°2θ)	d/Å	I (rel.)
34.5	2.598	100
62.4	1.489	40
33.8	2.651	28
49.4	1.844	26
34.9	2.568	24
60.9	1.520	18
61.6	1.506	12
49.8	1.830	12
56.5	1.629	11
27.1	3.294	10

Atomic structure:
```
data_Cr2O3
_chemical_formula_sum 'Cr8 O12'
_cell_length_a 7.320
_cell_length_b 5.136
_cell_length_c 5.302
_cell_angle_alpha 90.00
_cell_angle_beta 90.00
_cell_angle_gamma 90.00
_symmetry_space_group_name_H-M 'P b c n'
_symmetry_Int_Tables_number 60
loop_
_symmetry_equiv_pos_as_xyz
'x,y,z'
'-x,-y,-z'
'-x+1/2,-y+1/2,z+1/2'
'x+1/2,y+1/2,-z+1/2'
'x+1/2,-y+1/2,-z'
'-x+1/2,y+1/2,z'
'-x,y,-z+1/2'
'x,-y,z+1/2'
loop_
_atom_site_label
_atom_site_type_symbol
_atom_site_fract_x
_atom_site_fract_y
_atom_site_fract_z
Cr1 Cr 0.106 0.250 0.033
O1 O 0.000 0.049 0.750
O2 O 0.151 0.392 0.393
```

---

Entry 2:
This entry pairs a crystal structure of Cr2O3 with its computed powder XRD pattern. Radiation: Cu Kα. Structure: a structure optimized by DFT (PBE+U).
Peak positions follow from Bragg's law for the DFT cell and can differ from measured ones.

Peak list (10 most intense, 2θ = 10–90°, most intense first)
Position (°2θ)	d/Å	I (rel.)
32.8	2.730	100
54.9	1.672	42
65.5	1.426	20
23.0	3.861	19
38.1	2.365	14
49.1	1.855	12
45.0	2.017	11
67.1	1.395	6
63.8	1.459	6
60.3	1.534	6

Atomic structure:
```
data_Cr2O3
_chemical_formula_sum 'Cr32 O48'
_cell_length_a 9.458
_cell_length_b 9.458
_cell_length_c 9.458
_cell_angle_alpha 90.00
_cell_angle_beta 90.00
_cell_angle_gamma 90.00
_symmetry_space_group_name_H-M 'I a -3'
_symmetry_Int_Tables_number 206
_symmetry_space_group_name_Hall '-I 2b 2c 3'
loop_
_atom_site_label
_atom_site_type_symbol
_atom_site_fract_x
_atom_site_fract_y
_atom_site_fract_z
Cr1 Cr 0.000 0.250 0.461
Cr2 Cr 0.250 0.250 0.250
O1 O 0.110 0.157 0.615
```

---

Entry 3:
This entry pairs a crystal structure of Cr3O8 with its computed powder XRD pattern. Radiation: Cu Kα. Structure: a structure optimized by DFT (PBE+U).
Peak positions follow from Bragg's law for the DFT cell and can differ from measured ones.

Peak list (10 most intense, 2θ = 10–90°, most intense first)
Position (°2θ)	d/Å	I (rel.)
17.1	5.193	100
32.5	2.752	35
33.3	2.689	29
31.4	2.850	20
35.9	2.498	19
31.2	2.867	19
40.3	2.239	16
66.3	1.409	12
25.8	3.459	9
47.0	1.932	9

Atomic structure:
```
data_Cr3O8
_chemical_formula_sum 'Cr6 O16'
_cell_length_a 9.741
_cell_length_b 5.699
_cell_length_c 6.934
_cell_angle_alpha 90.00
_cell_angle_beta 131.50
_cell_angle_gamma 90.00
_symmetry_space_group_name_H-M 'C 1 2/m 1'
_symmetry_Int_Tables_number 12
loop_
_symmetry_equiv_pos_as_xyz
'x,y,z'
'-x,-y,-z'
'-x,y,-z'
'x,-y,z'
'x+1/2,y+1/2,z'
'-x+1/2,-y+1/2,-z'
'-x+1/2,y+1/2,-z'
'x+1/2,-y+1/2,z'
loop_
_atom_site_label
_atom_site_type_symbol
_atom_site_fract_x
_atom_site_fract_y
_atom_site_fract_z
Cr1 Cr 0.000 0.000 0.000
Cr2 Cr 0.228 0.500 0.128
O1 O 0.057 0.000 0.783
O2 O 0.084 0.500 0.823
O3 O 0.186 0.250 0.214
```

---

Entry 4:
This entry pairs a crystal structure of Cr8O21 with its computed powder XRD pattern. Radiation: Cu Kα. Structure: a structure optimized by DFT (PBE+U).
Peak positions follow from Bragg's law for the DFT cell and can differ from measured ones.

Peak list (10 most intense, 2θ = 10–90°, most intense first)
Position (°2θ)	d/Å	I (rel.)
22.2	4.012	100
22.6	3.932	70
32.3	2.775	65
27.3	3.272	57
27.5	3.243	55
21.3	4.175	49
27.8	3.208	47
16.4	5.389	42
14.1	6.303	38
22.5	3.950	22

Atomic structure:
```
data_Cr8O21
_chemical_formula_sum 'Cr8 O21'
_cell_length_a 5.439
_cell_length_b 6.543
_cell_length_c 12.795
_cell_angle_alpha 80.45
_cell_angle_beta 86.41
_cell_angle_gamma 83.46
_symmetry_space_group_name_H-M 'P -1'
_symmetry_Int_Tables_number 2
loop_
_symmetry_equiv_pos_as_xyz
'x,y,z'
'-x,-y,-z'
loop_
_atom_site_label
_atom_site_type_symbol
_atom_site_fract_x
_atom_site_fract_y
_atom_site_fract_z
Cr1 Cr 0.109 0.135 0.236
Cr2 Cr 0.179 0.243 0.909
Cr3 Cr 0.228 0.315 0.457
Cr4 Cr 0.360 0.702 0.938
O1 O 0.000 0.500 0.500
O2 O 0.087 0.643 0.045
O3 O 0.094 0.865 0.226
O4 O 0.102 0.171 0.372
O5 O 0.128 0.230 0.770
O6 O 0.150 0.726 0.817
O7 O 0.268 0.994 0.959
O8 O 0.333 0.156 0.556
O9 O 0.354 0.221 0.164
O10 O 0.421 0.391 0.934
O11 O 0.449 0.430 0.394
```

---

Entry 5:
This entry pairs a crystal structure of Cr6O11 with its computed powder XRD pattern. Radiation: Cu Kα. Structure: a structure optimized by DFT (PBE+U).
Peak positions follow from Bragg's law for the DFT cell and can differ from measured ones.

Peak list (10 most intense, 2θ = 10–90°, most intense first)
Position (°2θ)	d/Å	I (rel.)
30.8	2.900	100
26.9	3.317	88
29.0	3.074	80
54.4	1.686	71
23.5	3.790	65
55.4	1.658	63
35.7	2.513	56
36.2	2.484	51
35.0	2.563	47
41.0	2.200	45

Atomic structure:
```
data_Cr6O11
_chemical_formula_sum 'Cr12 O22'
_cell_length_a 5.449
_cell_length_b 7.066
_cell_length_c 9.583
_cell_angle_alpha 89.76
_cell_angle_beta 81.20
_cell_angle_gamma 72.31
_symmetry_space_group_name_H-M 'P -1'
_symmetry_Int_Tables_number 2
loop_
_symmetry_equiv_pos_as_xyz
'x,y,z'
'-x,-y,-z'
loop_
_atom_site_label
_atom_site_type_symbol
_atom_site_fract_x
_atom_site_fract_y
_atom_site_fract_z
Cr1 Cr 0.170 0.309 0.061
Cr2 Cr 0.181 0.809 0.059
Cr3 Cr 0.229 0.359 0.414
Cr4 Cr 0.232 0.861 0.413
Cr5 Cr 0.309 0.431 0.760
Cr6 Cr 0.313 0.925 0.762
O1 O 0.011 0.093 0.112
O2 O 0.053 0.425 0.250
O3 O 0.101 0.640 0.474
O4 O 0.124 0.984 0.604
O5 O 0.180 0.208 0.853
O6 O 0.215 0.545 0.963
O7 O 0.343 0.737 0.222
O8 O 0.359 0.079 0.352
O9 O 0.408 0.300 0.574
O10 O 0.440 0.644 0.699
O11 O 0.475 0.837 0.931
```

---

Entry 6:
This entry pairs a crystal structure of Cr4O9 with its computed powder XRD pattern. Radiation: Cu Kα. Structure: a structure optimized by DFT (PBE+U).
Peak positions follow from Bragg's law for the DFT cell and can differ from measured ones.

Peak list (10 most intense, 2θ = 10–90°, most intense first)
Position (°2θ)	d/Å	I (rel.)
15.6	5.672	100
28.5	3.132	78
33.7	2.656	34
48.5	1.878	28
14.9	5.939	25
39.8	2.263	20
18.9	4.701	20
54.3	1.689	19
57.2	1.611	17
21.2	4.200	16

Atomic structure:
```
data_Cr4O9
_chemical_formula_sum 'Cr8 O18'
_cell_length_a 8.399
_cell_length_b 8.399
_cell_length_c 5.672
_cell_angle_alpha 90.00
_cell_angle_beta 90.00
_cell_angle_gamma 90.00
_symmetry_space_group_name_H-M 'P 4/n'
_symmetry_Int_Tables_number 85
loop_
_symmetry_equiv_pos_as_xyz
'x,y,z'
'-x,-y,-z'
'-y+1/2,x,z'
'y+1/2,-x,-z'
'-x+1/2,-y+1/2,z'
'x+1/2,y+1/2,-z'
'y,-x+1/2,z'
'-y,x+1/2,-z'
loop_
_atom_site_label
_atom_site_type_symbol
_atom_site_fract_x
_atom_site_fract_y
_atom_site_fract_z
Cr1 Cr 0.038 0.654 0.112
O1 O 0.033 0.143 0.994
O2 O 0.045 0.658 0.394
O3 O 0.250 0.750 0.000
```

---

Entry 7:
This entry pairs a crystal structure of Cr8O21 with its computed powder XRD pattern. Radiation: Cu Kα. Structure: a structure optimized by DFT (PBE+U).
Peak positions follow from Bragg's law for the DFT cell and can differ from measured ones.

Peak list (10 most intense, 2θ = 10–90°, most intense first)
Position (°2θ)	d/Å	I (rel.)
22.4	3.968	100
26.0	3.427	73
27.9	3.193	72
23.5	3.783	47
22.2	4.013	32
19.5	4.564	28
14.4	6.148	24
33.3	2.693	23
32.9	2.724	23
31.1	2.875	21

Atomic structure:
```
data_Cr8O21
_chemical_formula_sum 'Cr8 O21'
_cell_length_a 5.511
_cell_length_b 6.722
_cell_length_c 12.721
_cell_angle_alpha 75.37
_cell_angle_beta 84.55
_cell_angle_gamma 78.15
_symmetry_space_group_name_H-M 'P -1'
_symmetry_Int_Tables_number 2
loop_
_symmetry_equiv_pos_as_xyz
'x,y,z'
'-x,-y,-z'
loop_
_atom_site_label
_atom_site_type_symbol
_atom_site_fract_x
_atom_site_fract_y
_atom_site_fract_z
Cr1 Cr 0.149 0.291 0.068
Cr2 Cr 0.271 0.704 0.531
Cr3 Cr 0.293 0.737 0.100
Cr4 Cr 0.349 0.862 0.753
O1 O 0.032 0.616 0.587
O2 O 0.090 0.605 0.055
O3 O 0.137 0.733 0.824
O4 O 0.189 0.994 0.065
O5 O 0.195 0.877 0.422
O6 O 0.263 0.104 0.749
O7 O 0.314 0.656 0.228
O8 O 0.380 0.227 0.187
O9 O 0.385 0.825 0.619
O10 O 0.427 0.323 0.959
O11 O 0.500 0.500 0.500
```

---

Entry 8:
This entry pairs a crystal structure of Cr3O8 with its computed powder XRD pattern. Radiation: Cu Kα. Structure: a structure optimized by DFT (PBE+U).
Peak positions follow from Bragg's law for the DFT cell and can differ from measured ones.

Peak list (10 most intense, 2θ = 10–90°, most intense first)
Position (°2θ)	d/Å	I (rel.)
23.0	3.859	100
16.2	5.479	68
31.2	2.864	30
24.9	3.570	30
29.9	2.984	21
33.0	2.718	17
61.1	1.516	14
37.0	2.431	13
26.5	3.369	11
39.9	2.261	10

Atomic structure:
```
data_Cr3O8
_chemical_formula_sum 'Cr6 O16'
_cell_length_a 7.400
_cell_length_b 8.153
_cell_length_c 5.436
_cell_angle_alpha 90.00
_cell_angle_beta 90.00
_cell_angle_gamma 90.00
_symmetry_space_group_name_H-M 'P n n m'
_symmetry_Int_Tables_number 58
loop_
_symmetry_equiv_pos_as_xyz
'x,y,z'
'-x,-y,-z'
'-x,-y,z'
'x,y,-z'
'x+1/2,-y+1/2,-z+1/2'
'-x+1/2,y+1/2,z+1/2'
'-x+1/2,y+1/2,-z+1/2'
'x+1/2,-y+1/2,z+1/2'
loop_
_atom_site_label
_atom_site_type_symbol
_atom_site_fract_x
_atom_site_fract_y
_atom_site_fract_z
Cr1 Cr 0.000 0.000 0.000
Cr2 Cr 0.192 0.185 0.500
O1 O 0.037 0.318 0.500
O2 O 0.104 0.777 0.000
O3 O 0.170 0.062 0.246
```